Entry 1:
Starting from a cell relaxed with GGA-PBE, the powder XRD pattern of V12CrSn3 was calculated for Cu Kα (λ = 1.5418 Å).

Structure:
Cell lengths 4.898, 4.912, 9.791 Å; angles 90.00, 90.00, 90.00 degrees
Space group Pmmm (No. 47)
Inequivalent atoms, fractional coordinates:
V: 0.000 0.000 0.114 (multiplicity 2)
V: 0.000 0.000 0.371 (multiplicity 2)
V: 0.246 0.500 0.500 (multiplicity 2)
V: 0.263 0.500 0.000 (multiplicity 2)
V: 0.500 0.238 0.234 (multiplicity 4)
Cr: 0.500 0.000 0.000 (multiplicity 1)
Sn: 0.000 0.500 0.248 (multiplicity 2)
Sn: 0.500 0.000 0.500 (multiplicity 1)

The 8 most intense peaks (2θ = 15–90°), most intense first:
2θ/deg	I (rel.)
45.3	100
41.2	37
36.7	31
25.7	28
72.1	24
72.0	24
41.2	18
36.6	16

***

Entry 2:
Starting from a cell relaxed with GGA-PBE, the powder XRD pattern of TbThNp2As4 was calculated for Cu Kα (λ = 1.5418 Å).

Structure:
Cell lengths 7.194, 4.153, 7.214 Å; angles 90.00, 109.45, 90.00 degrees
Space group P2/m (No. 10)
Inequivalent atoms, fractional coordinates:
Tb: 0.000 0.000 0.000 (multiplicity 1)
Th: 0.000 0.500 0.500 (multiplicity 1)
Np: 0.500 0.000 0.500 (multiplicity 1)
Np: 0.500 0.500 0.000 (multiplicity 1)
As: 0.256 0.500 0.249 (multiplicity 2)
As: 0.257 0.000 0.757 (multiplicity 2)

The 8 most intense peaks (2θ = 15–90°), most intense first:
2θ/deg	I (rel.)
30.4	100
43.5	63
26.3	40
54.1	20
80.0	20
71.7	17
71.9	17
43.6	13

***

Entry 3:
Starting from a cell relaxed with GGA-PBE, the powder XRD pattern of MgBeHS was calculated for Cu Kα (λ = 1.5418 Å).

Structure:
Cell lengths 3.705, 3.821, 5.473 Å; angles 75.27, 70.94, 61.37 degrees
Space group P1 (No. 1)
Inequivalent atoms, fractional coordinates:
Mg: 0.000 0.000 0.000 (multiplicity 1)
Be: 0.518 0.570 0.400 (multiplicity 1)
H: 0.426 0.921 0.224 (multiplicity 1)
S: 0.417 0.394 0.769 (multiplicity 1)

The 8 most intense peaks (2θ = 15–90°), most intense first:
2θ/deg	I (rel.)
17.3	100
29.4	96
30.2	58
39.2	26
39.5	25
41.8	18
47.5	18
49.2	17

***

Entry 4:
Starting from a cell relaxed with GGA-PBE, the powder XRD pattern of CeSi3Au3 was calculated for Cu Kα (λ = 1.5418 Å).

Structure:
Cell lengths 6.825, 6.825, 6.825 Å; angles 90.00, 90.00, 90.00 degrees
Space group Pm-3n (No. 223)
Inequivalent atoms, fractional coordinates:
Ce: 0.000 0.000 0.000 (multiplicity 2)
Si: 0.000 0.250 0.500 (multiplicity 6)
Au: 0.000 0.500 0.250 (multiplicity 6)

The 8 most intense peaks (2θ = 15–90°), most intense first:
2θ/deg	I (rel.)
29.3	100
32.1	93
50.0	54
26.1	40
53.7	27
48.1	27
46.1	25
62.3	25

***

Entry 5:
Starting from a cell relaxed with GGA-PBE, the powder XRD pattern of Mn2ZnGa2 was calculated for Cu Kα (λ = 1.5418 Å).

Structure:
Cell lengths 3.864, 3.849, 9.485 Å; angles 90.00, 90.54, 90.00 degrees
Space group C2/m (No. 12)
Inequivalent atoms, fractional coordinates:
Mn: 0.249 0.000 0.432 (multiplicity 4)
Zn: 0.000 0.000 0.000 (multiplicity 2)
Ga: 0.235 0.500 0.248 (multiplicity 4)

The 8 most intense peaks (2θ = 15–90°), most intense first:
2θ/deg	I (rel.)
43.7	100
34.3	55
38.2	43
47.2	41
44.0	30
37.9	29
48.0	21
51.2	20

***

Entry 6:
Starting from a cell relaxed with GGA-PBE, the powder XRD pattern of PmBi2Pb was calculated for Cu Kα (λ = 1.5418 Å).

Structure:
Cell lengths 6.983, 8.327, 4.279 Å; angles 90.00, 90.00, 90.00 degrees
Space group Cmmm (No. 65)
Inequivalent atoms, fractional coordinates:
Pm: 0.000 0.000 0.000 (multiplicity 2)
Bi: 0.250 0.250 0.500 (multiplicity 4)
Pb: 0.000 0.500 0.000 (multiplicity 2)

The 8 most intense peaks (2θ = 15–90°), most intense first:
2θ/deg	I (rel.)
29.9	100
33.1	77
33.5	75
54.9	38
55.7	36
61.5	27
42.2	20
43.5	19

***

Entry 7:
Starting from a cell relaxed with GGA-PBE, the powder XRD pattern of CaNi4Te was calculated for Cu Kα (λ = 1.5418 Å).

Structure:
Cell lengths 7.106, 7.106, 7.106 Å; angles 90.00, 90.00, 90.00 degrees
Space group F-43m (No. 216)
Inequivalent atoms, fractional coordinates:
Ca: 0.000 0.000 0.000 (multiplicity 4)
Ni: 0.125 0.125 0.625 (multiplicity 16)
Te: 0.250 0.250 0.250 (multiplicity 4)

The 8 most intense peaks (2θ = 15–90°), most intense first:
2θ/deg	I (rel.)
42.2	100
35.7	34
44.1	34
68.6	29
75.7	23
64.2	12
25.1	10
21.7	10

***

Entry 8:
Starting from a cell relaxed with GGA-PBE, the powder XRD pattern of NbS2Br was calculated for Cu Kα (λ = 1.5418 Å).

Structure:
Cell lengths 5.098, 13.723, 6.659 Å; angles 90.00, 106.97, 90.00 degrees
Space group C2/c (No. 15)
Inequivalent atoms, fractional coordinates:
Nb: 0.000 0.028 0.250 (multiplicity 4)
S: 0.173 0.101 0.590 (multiplicity 8)
Br: 0.000 0.376 0.750 (multiplicity 4)

The 8 most intense peaks (2θ = 15–90°), most intense first:
2θ/deg	I (rel.)
26.7	100
19.0	87
34.8	76
37.8	74
28.0	59
19.3	53
44.0	51
44.7	44